No. 1
Calculated XRD peak list of PPd6 for Cu Kα (λ = 1.5418 Å), from a structure optimized by DFT (GGA-PBE).
Kinematic intensities with the Lorentz-polarization factor, no thermal factor.

```
PPd6
1.0
5.7337 0.0000 0.0000
0.0000 9.6471 0.0000
-2.8845 0.0000 7.8413
P Pd
4 24
direct
0.1232 0.2391 0.2492 P
0.1232 0.2609 0.7492 P
0.8768 0.7391 0.2508 P
0.8768 0.7609 0.7508 P
0.0400 0.6355 0.0643 Pd
0.0400 0.8645 0.5643 Pd
0.1332 0.5795 0.7493 Pd
0.1332 0.9205 0.2493 Pd
0.2266 0.6348 0.4312 Pd
0.2266 0.8652 0.9312 Pd
0.2863 0.1335 0.0638 Pd
0.2863 0.3665 0.5638 Pd
0.3801 0.0803 0.7488 Pd
0.3801 0.4197 0.2488 Pd
0.4709 0.1328 0.4311 Pd
0.4709 0.3672 0.9311 Pd
0.5291 0.6328 0.0689 Pd
0.5291 0.8672 0.5689 Pd
0.6199 0.5803 0.7512 Pd
0.6199 0.9197 0.2512 Pd
0.7137 0.6335 0.4362 Pd
0.7137 0.8665 0.9362 Pd
0.7734 0.1348 0.0688 Pd
0.7734 0.3652 0.5688 Pd
0.8668 0.0795 0.7507 Pd
0.8668 0.4205 0.2507 Pd
0.9600 0.1355 0.4357 Pd
0.9600 0.3645 0.9357 Pd
```

Peak list (6 most intense, 10 to 90 degrees two-theta, low angle first)
34.6°, intensity 34; 37.3°, intensity 39; 39.2°, intensity 100; 40.1°, intensity 80; 42.2°, intensity 30; 43.9°, intensity 50

---

No. 2
Calculated XRD peak list of P2Pd15 for Cu Kα (λ = 1.5418 Å), from a structure optimized by DFT (GGA-PBE).
Kinematic intensities with the Lorentz-polarization factor, no thermal factor.

```
P2Pd15
1.0
3.6129 2.0859 5.7926
-3.6129 2.0859 5.7926
0.0000 -4.1719 5.7926
P Pd
2 15
direct
0.2143 0.2143 0.2143 P
0.7857 0.7857 0.7857 P
0.0000 0.0000 0.0000 Pd
0.0580 0.5528 0.2749 Pd
0.1347 0.6535 0.8204 Pd
0.1796 0.8653 0.3465 Pd
0.2749 0.0580 0.5528 Pd
0.3465 0.1796 0.8653 Pd
0.4206 0.4206 0.4206 Pd
0.4472 0.7251 0.9420 Pd
0.5528 0.2749 0.0580 Pd
0.5794 0.5794 0.5794 Pd
0.6535 0.8204 0.1347 Pd
0.7251 0.9420 0.4472 Pd
0.8204 0.1347 0.6535 Pd
0.8653 0.3465 0.1796 Pd
0.9420 0.4472 0.7251 Pd
```

Peak list (6 most intense, 10 to 90 degrees two-theta, low angle first)
38.4°, intensity 100; 38.7°, intensity 63; 39.0°, intensity 36; 39.5°, intensity 43; 39.9°, intensity 87; 46.4°, intensity 32

---

No. 3
Calculated XRD peak list of P3Pd for Cu Kα (λ = 1.5418 Å), from a structure optimized by DFT (GGA-PBE).
Kinematic intensities with the Lorentz-polarization factor, no thermal factor.

```
P3Pd
1.0
-4.1113 4.1113 4.1113
4.1113 -4.1113 4.1113
4.1113 4.1113 -4.1113
P Pd
12 4
direct
0.1349 0.3643 0.4992 P
0.1349 0.6357 0.7706 P
0.2294 0.8651 0.3643 P
0.3643 0.2294 0.8651 P
0.3643 0.4992 0.1349 P
0.4992 0.1349 0.3643 P
0.5008 0.8651 0.6357 P
0.6357 0.5008 0.8651 P
0.6357 0.7706 0.1349 P
0.7706 0.1349 0.6357 P
0.8651 0.3643 0.2294 P
0.8651 0.6357 0.5008 P
0.0000 0.0000 0.5000 Pd
0.0000 0.5000 0.0000 Pd
0.5000 0.0000 0.0000 Pd
0.5000 0.5000 0.5000 Pd
```

Peak list (6 most intense, 10 to 90 degrees two-theta, low angle first)
21.6°, intensity 85; 30.8°, intensity 100; 34.5°, intensity 34; 37.9°, intensity 42; 49.6°, intensity 95; 54.7°, intensity 51

---

No. 4
Calculated XRD peak list of PPd6 for Cu Kα (λ = 1.5418 Å), from a structure optimized by DFT (GGA-PBE).
Kinematic intensities with the Lorentz-polarization factor, no thermal factor.

```
PPd6
1.0
7.3203 0.0000 0.0000
0.0000 1.5502 4.8070
0.0000 -1.5502 4.8070
P Pd
1 6
direct
0.0000 0.0000 0.0000 P
0.0000 0.3155 0.3155 Pd
0.1941 0.6142 0.6142 Pd
0.3185 0.8899 0.8899 Pd
0.5000 0.1775 0.1775 Pd
0.6815 0.8899 0.8899 Pd
0.8059 0.6142 0.6142 Pd
```

Peak list (6 most intense, 10 to 90 degrees two-theta, low angle first)
32.7°, intensity 36; 37.4°, intensity 31; 39.2°, intensity 100; 40.5°, intensity 53; 41.5°, intensity 83; 42.4°, intensity 52

---

No. 5
Calculated XRD peak list of PrPPd for Cu Kα (λ = 1.5418 Å), from a structure optimized by DFT (GGA-PBE).
Kinematic intensities with the Lorentz-polarization factor, no thermal factor.

```
PrPPd
1.0
4.2579 0.0000 0.0000
-2.1290 3.6875 0.0000
0.0000 0.0000 7.9378
Pr P Pd
2 2 2
direct
0.0000 0.0000 0.0000 Pr
0.0000 0.0000 0.5000 Pr
0.3333 0.6667 0.2500 P
0.6667 0.3333 0.7500 P
0.3333 0.6667 0.7500 Pd
0.6667 0.3333 0.2500 Pd
```

Peak list (6 most intense, 10 to 90 degrees two-theta, low angle first)
26.7°, intensity 18; 33.2°, intensity 100; 42.5°, intensity 44; 54.9°, intensity 23; 64.2°, intensity 25; 71.8°, intensity 21

---

No. 6
Calculated XRD peak list of Rb2P2Pd for Cu Kα (λ = 1.5418 Å), from a structure optimized by DFT (GGA-PBE).
Kinematic intensities with the Lorentz-polarization factor, no thermal factor.

```
Rb2P2Pd
1.0
3.3283 -7.2954 0.0000
3.3283 7.2954 0.0000
0.0000 0.0000 6.1518
Rb P Pd
4 4 2
direct
0.0792 0.9208 0.7500 Rb
0.2858 0.7142 0.2500 Rb
0.7142 0.2858 0.7500 Rb
0.9208 0.0792 0.2500 Rb
0.2313 0.4419 0.7500 P
0.4419 0.2313 0.2500 P
0.5581 0.7687 0.7500 P
0.7687 0.5581 0.2500 P
0.5000 0.5000 0.0000 Pd
0.5000 0.5000 0.5000 Pd
```

Peak list (6 most intense, 10 to 90 degrees two-theta, low angle first)
12.1°, intensity 43; 14.6°, intensity 40; 26.8°, intensity 48; 26.9°, intensity 100; 33.5°, intensity 41; 37.1°, intensity 41

---

No. 7
Calculated XRD peak list of Rb4P3Pd3S12 for Cu Kα (λ = 1.5418 Å), from a structure optimized by DFT (GGA-PBE).
Kinematic intensities with the Lorentz-polarization factor, no thermal factor.

```
Rb4P3Pd3S12
1.0
12.2382 0.0000 0.0000
0.0000 12.2382 0.0000
0.0000 0.0000 12.2382
Rb P Pd S
8 6 6 24
direct
0.2500 0.2500 0.2500 Rb
0.2500 0.2500 0.7500 Rb
0.2500 0.7500 0.2500 Rb
0.2500 0.7500 0.7500 Rb
0.7500 0.2500 0.2500 Rb
0.7500 0.2500 0.7500 Rb
0.7500 0.7500 0.2500 Rb
0.7500 0.7500 0.7500 Rb
0.0000 0.2500 0.5000 P
0.0000 0.7500 0.5000 P
0.2500 0.5000 0.0000 P
0.5000 0.0000 0.2500 P
0.5000 0.0000 0.7500 P
0.7500 0.5000 0.0000 P
0.0000 0.0000 0.5000 Pd
0.0000 0.5000 0.0000 Pd
0.0000 0.5000 0.5000 Pd
0.5000 0.0000 0.0000 Pd
0.5000 0.0000 0.5000 Pd
0.5000 0.5000 0.0000 Pd
0.0000 0.3552 0.3688 S
0.0000 0.3552 0.6312 S
0.0000 0.6448 0.3688 S
0.0000 0.6448 0.6312 S
0.1312 0.1448 0.5000 S
0.1312 0.8552 0.5000 S
0.1448 0.5000 0.1312 S
0.1448 0.5000 0.8688 S
0.3552 0.3688 0.0000 S
0.3552 0.6312 0.0000 S
0.3688 0.0000 0.3552 S
0.3688 0.0000 0.6448 S
0.5000 0.1312 0.1448 S
0.5000 0.1312 0.8552 S
0.5000 0.8688 0.1448 S
0.5000 0.8688 0.8552 S
0.6312 0.0000 0.3552 S
0.6312 0.0000 0.6448 S
0.6448 0.3688 0.0000 S
0.6448 0.6312 0.0000 S
0.8552 0.5000 0.1312 S
0.8552 0.5000 0.8688 S
0.8688 0.1448 0.5000 S
0.8688 0.8552 0.5000 S
```

Peak list (6 most intense, 10 to 90 degrees two-theta, low angle first)
10.2°, intensity 100; 20.5°, intensity 99; 29.2°, intensity 24; 35.9°, intensity 62; 47.0°, intensity 28; 56.3°, intensity 26

---

No. 8
Calculated XRD peak list of SmPPd for Cu Kα (λ = 1.5418 Å), from a structure optimized by DFT (GGA-PBE).
Kinematic intensities with the Lorentz-polarization factor, no thermal factor.

```
SmPPd
1.0
4.2201 0.0000 0.0000
-2.1100 3.6547 0.0000
0.0000 0.0000 7.7299
Sm P Pd
2 2 2
direct
0.0000 0.0000 0.0000 Sm
0.0000 0.0000 0.5000 Sm
0.3333 0.6667 0.2500 P
0.6667 0.3333 0.7500 P
0.3333 0.6667 0.7500 Pd
0.6667 0.3333 0.2500 Pd
```

Peak list (6 most intense, 10 to 90 degrees two-theta, low angle first)
27.0°, intensity 17; 33.8°, intensity 100; 42.9°, intensity 49; 55.6°, intensity 24; 65.5°, intensity 26; 72.7°, intensity 21

---

No. 9
Calculated XRD peak list of SmP2Pd2 for Cu Kα (λ = 1.5418 Å), from a structure optimized by DFT (GGA-PBE).
Kinematic intensities with the Lorentz-polarization factor, no thermal factor.

```
SmP2Pd2
1.0
-2.0694 2.0694 4.9845
2.0694 -2.0694 4.9845
2.0694 2.0694 -4.9845
Sm P Pd
1 2 2
direct
0.0000 0.0000 0.0000 Sm
0.3880 0.3880 0.0000 P
0.6120 0.6120 0.0000 P
0.2500 0.7500 0.5000 Pd
0.7500 0.2500 0.5000 Pd
```

Peak list (6 most intense, 10 to 90 degrees two-theta, low angle first)
23.3°, intensity 21; 34.6°, intensity 25; 35.6°, intensity 100; 43.7°, intensity 36; 57.9°, intensity 16; 75.0°, intensity 22

---

No. 10
Calculated XRD peak list of Sm3P6Pd20 for Cu Kα (λ = 1.5418 Å), from a structure optimized by DFT (GGA-PBE).
Kinematic intensities with the Lorentz-polarization factor, no thermal factor.

```
Sm3P6Pd20
1.0
0.0000 6.1728 6.1728
6.1728 0.0000 6.1728
6.1728 6.1728 0.0000
Sm P Pd
3 6 20
direct
0.0000 0.0000 0.0000 Sm
0.2500 0.2500 0.2500 Sm
0.7500 0.7500 0.7500 Sm
0.2619 0.2619 0.7381 P
0.2619 0.7381 0.2619 P
0.2619 0.7381 0.7381 P
0.7381 0.2619 0.2619 P
0.7381 0.2619 0.7381 P
0.7381 0.7381 0.2619 P
0.0000 0.0000 0.3468 Pd
0.0000 0.0000 0.6532 Pd
0.0000 0.3468 0.0000 Pd
0.0000 0.3468 0.6532 Pd
0.0000 0.6532 0.0000 Pd
0.0000 0.6532 0.3468 Pd
0.1571 0.6143 0.6143 Pd
0.3468 0.0000 0.0000 Pd
0.3468 0.0000 0.6532 Pd
0.3468 0.6532 0.0000 Pd
0.3857 0.3857 0.3857 Pd
0.3857 0.3857 0.8429 Pd
0.3857 0.8429 0.3857 Pd
0.6143 0.1571 0.6143 Pd
0.6143 0.6143 0.1571 Pd
0.6143 0.6143 0.6143 Pd
0.6532 0.0000 0.0000 Pd
0.6532 0.0000 0.3468 Pd
0.6532 0.3468 0.0000 Pd
0.8429 0.3857 0.3857 Pd
```

Peak list (6 most intense, 10 to 90 degrees two-theta, low angle first)
32.4°, intensity 23; 35.6°, intensity 32; 37.9°, intensity 100; 41.4°, intensity 32; 43.4°, intensity 23; 64.0°, intensity 30

---

No. 11
Calculated XRD peak list of Sr2P3Pd3 for Cu Kα (λ = 1.5418 Å), from a structure optimized by DFT (GGA-PBE).
Kinematic intensities with the Lorentz-polarization factor, no thermal factor.

```
Sr2P3Pd3
1.0
-2.1126 2.1303 17.3097
2.1126 -2.1303 17.3097
2.1126 2.1303 -17.3097
Sr P Pd
4 6 6
direct
0.0728 0.0728 0.0000 Sr
0.1777 0.6777 0.5000 Sr
0.8223 0.3223 0.5000 Sr
0.9272 0.9272 0.0000 Sr
0.2887 0.7887 0.5000 P
0.3540 0.8540 0.5000 P
0.4597 0.4597 0.0000 P
0.5403 0.5403 0.0000 P
0.6460 0.1460 0.5000 P
0.7113 0.2113 0.5000 P
0.0000 0.5000 0.5000 Pd
0.2506 0.2506 0.0000 Pd
0.3898 0.3898 0.0000 Pd
0.5000 0.0000 0.5000 Pd
0.6102 0.6102 0.0000 Pd
0.7494 0.7494 0.0000 Pd
```

Peak list (6 most intense, 10 to 90 degrees two-theta, low angle first)
31.3°, intensity 15; 33.7°, intensity 100; 40.0°, intensity 14; 42.4°, intensity 22; 42.8°, intensity 22; 61.9°, intensity 14